[1]
For Li3RuN2, a cell relaxed with PBE gives the calculated powder diffraction line list in this record (Cu Ka).
Kinematic intensities with the Lorentz-polarization factor, no thermal factor.

Cell and atoms:
abc: 8.4489 8.4489 8.4489
angles: 109.47 109.47 109.47
Sites, in units of the cell vectors:
1 Li 0.0114 0.9760 0.2377
2 Li 0.0240 0.7623 0.9886
3 Li 0.0354 0.5114 0.2737
4 Li 0.2263 0.7377 0.7616
5 Li 0.2377 0.0114 0.9760
6 Li 0.2384 0.7737 0.2623
7 Li 0.2623 0.2384 0.7737
8 Li 0.2616 0.5240 0.5354
9 Li 0.2737 0.0354 0.5114
10 Li 0.4646 0.7384 0.4760
11 Li 0.4760 0.4646 0.7384
12 Li 0.4886 0.7263 0.9646
13 Li 0.5114 0.2737 0.0354
14 Li 0.5240 0.5354 0.2616
15 Li 0.5354 0.2616 0.5240
16 Li 0.7263 0.9646 0.4886
17 Li 0.7384 0.4760 0.4646
18 Li 0.7377 0.7616 0.2263
19 Li 0.7616 0.2263 0.7377
20 Li 0.7623 0.9886 0.0240
21 Li 0.7737 0.2623 0.2384
22 Li 0.9646 0.4886 0.7263
23 Li 0.9760 0.2377 0.0114
24 Li 0.9886 0.0240 0.7623
25 Ru 0.0000 0.2309 0.5000
26 Ru 0.0000 0.7691 0.5000
27 Ru 0.2309 0.5000 0.0000
28 Ru 0.2691 0.2691 0.2691
29 Ru 0.5000 0.0000 0.2309
30 Ru 0.5000 0.0000 0.7691
31 Ru 0.7309 0.7309 0.7309
32 Ru 0.7691 0.5000 0.0000
33 N 0.0000 0.0000 0.5000
34 N 0.0000 0.5000 0.0000
35 N 0.0198 0.2500 0.2698
36 N 0.2302 0.4802 0.7500
37 N 0.2500 0.2698 0.0198
38 N 0.2500 0.7698 0.5198
39 N 0.2698 0.0198 0.2500
40 N 0.4802 0.7500 0.2302
41 N 0.5000 0.0000 0.0000
42 N 0.5000 0.5000 0.5000
43 N 0.5198 0.2500 0.7698
44 N 0.7302 0.9802 0.7500
45 N 0.7500 0.2302 0.4802
46 N 0.7500 0.7302 0.9802
47 N 0.7698 0.5198 0.2500
48 N 0.9802 0.7500 0.7302

Largest 8 diffraction maxima, in order of rising 2θ, 2θ = 15–90°:
2θ = 22.32°, I = 100
2θ = 34.39°, I = 64
2θ = 36.85°, I = 22
2θ = 43.51°, I = 16
2θ = 51.29°, I = 16
2θ = 53.10°, I = 33
2θ = 58.30°, I = 21
2θ = 71.00°, I = 14



[2]
For Li9S3N, a cell relaxed with PBE gives the calculated powder diffraction line list in this record (Cu Ka).
Kinematic intensities with the Lorentz-polarization factor, no thermal factor.

Cell and atoms:
abc: 5.5161 5.5161 5.5161
angles: 90.00 90.00 90.00
Sites, in units of the cell vectors:
1 Li 0.0000 0.0000 0.0000
2 Li 0.2824 0.2824 0.2824
3 Li 0.2824 0.2824 0.7176
4 Li 0.2824 0.7176 0.2824
5 Li 0.2824 0.7176 0.7176
6 Li 0.7176 0.2824 0.2824
7 Li 0.7176 0.2824 0.7176
8 Li 0.7176 0.7176 0.2824
9 Li 0.7176 0.7176 0.7176
10 S 0.0000 0.0000 0.5000
11 S 0.0000 0.5000 0.0000
12 S 0.5000 0.0000 0.0000
13 N 0.5000 0.5000 0.5000

Largest 8 diffraction maxima, in order of rising 2θ, 2θ = 15–90°:
2θ = 28.02°, I = 100
2θ = 32.46°, I = 27
2θ = 36.42°, I = 12
2θ = 46.57°, I = 62
2θ = 55.23°, I = 33
2θ = 75.06°, I = 14
2θ = 77.37°, I = 9
2θ = 86.42°, I = 16